1.
For Dy3CI3, a structure optimized by DFT (GGA-PBE) gives the simulated powder diffractogram in this record (CuKα).
Kinematic intensities with the Lorentz-polarization factor, no thermal factor.

Largest 6 diffraction maxima, by angle, 15° ≤ 2θ ≤ 90°:
d 3.047, I = 19, hkl 1 1 2
d 3.011, I = 42, hkl 0 0 4
d 2.905, I = 100, hkl 2 1 0
d 2.799, I = 30, hkl 0 1 3
d 2.685, I = 22, hkl 1 1 -3
d 2.117, I = 19, hkl 2 1 -4

Crystal structure
abc: 8.7012 3.9058 12.0569
angles: 90.00 92.09 90.00
Space group P2_1/m (No. 11)
Symmetry-distinct sites (fractional):
1 Dy 0.0817 0.2500 0.4022 x2
2 Dy 0.1116 0.2500 0.8072 x2
3 Dy 0.2922 0.7500 0.6132 x2
4 C 0.1167 0.2500 0.6111 x2
5 I 0.1414 0.2500 0.1315 x2
6 I 0.3735 0.7500 0.8669 x2
7 I 0.3834 0.7500 0.3692 x2

***

2.
For Dy7C2I12O, a structure optimized by DFT (GGA-PBE) gives the simulated powder diffractogram in this record (CuKα).
Kinematic intensities with the Lorentz-polarization factor, no thermal factor.

Largest 6 diffraction maxima, by angle, 15° ≤ 2θ ≤ 90°:
d 3.162, I = 100, hkl -3 2 1
d 3.120, I = 83, hkl 0 2 -5
d 3.100, I = 81, hkl 1 2 2
d 2.226, I = 24, hkl -2 4 3
d 2.201, I = 49, hkl 1 0 7
d 2.196, I = 43, hkl 3 0 -6

Crystal structure
abc: 9.9459 10.9498 17.0478
angles: 102.34 92.67 113.04
Space group P-1 (No. 2)
Symmetry-distinct sites (fractional):
1 Dy 0.0243 0.4454 0.1866 x2
2 Dy 0.0464 0.2585 0.6878 x2
3 Dy 0.1433 0.4548 0.9801 x2
4 Dy 0.1658 0.5531 0.3875 x2
5 Dy 0.2209 0.7531 0.1587 x2
6 Dy 0.3683 0.8775 0.3581 x2
7 Dy 0.4348 0.5738 0.2382 x2
8 C 0.1354 0.6776 0.2835 x2
9 C 0.2544 0.6386 0.2655 x2
10 I 0.0455 0.1629 0.8508 x2
11 I 0.0593 0.7353 0.6995 x2
12 I 0.1050 0.3973 0.5487 x2
13 I 0.1601 0.0174 0.4089 x2
14 I 0.1905 0.7868 0.9728 x2
15 I 0.2256 0.3064 0.1076 x2
16 I 0.2855 0.5267 0.8151 x2
17 I 0.3241 0.1569 0.6657 x2
18 I 0.3775 0.8043 0.5199 x2
19 I 0.4030 0.4353 0.3724 x2
20 I 0.4469 0.0404 0.2299 x2
21 I 0.4634 0.6719 0.0756 x2
22 O 0.0569 0.5466 0.0820 x2

***

3.
For Dy6C3S2I, a structure optimized by DFT (GGA-PBE) gives the simulated powder diffractogram in this record (CuKα).
Kinematic intensities with the Lorentz-polarization factor, no thermal factor.

Largest 6 diffraction maxima, by angle, 15° ≤ 2θ ≤ 90°:
d 3.085, I = 59, hkl 3 1 0
d 2.718, I = 100, hkl 1 1 -2
d 2.515, I = 28, hkl 5 1 -1
d 1.974, I = 23, hkl 2 0 -4
d 1.873, I = 39, hkl 0 2 0
d 1.429, I = 19, hkl 11 1 -1

Crystal structure
abc: 17.1192 3.7459 7.9196
angles: 90.00 107.68 90.00
Space group C2/m (No. 12)
Symmetry-distinct sites (fractional):
1 Dy 0.0125 0.0000 0.2075 x4
2 Dy 0.1605 0.5000 0.1025 x4
3 Dy 0.1833 0.5000 0.5639 x4
4 C 0.0000 0.5000 0.0000 x2
5 C 0.1674 0.0000 0.3307 x4
6 S 0.1652 0.0000 0.8296 x4
7 I 0.0000 0.5000 0.5000 x2

***

4.
For Dy4InC, a structure optimized by DFT (GGA-PBE) gives the simulated powder diffractogram in this record (CuKα).
Kinematic intensities with the Lorentz-polarization factor, no thermal factor.

Largest 6 diffraction maxima, by angle, 15° ≤ 2θ ≤ 90°:
d 3.014, I = 41, hkl 3 1 1
d 2.873, I = 72, hkl 4 0 -2
d 2.709, I = 100, hkl 1 1 2
d 2.691, I = 96, hkl 2 2 -1
d 2.631, I = 90, hkl 5 1 0
d 1.752, I = 36, hkl 3 3 1

Crystal structure
abc: 15.1954 6.0913 6.8366
angles: 90.00 106.30 90.00
Space group C2/c (No. 15)
Symmetry-distinct sites (fractional):
1 Dy 0.1010 0.0910 0.4481 x8
2 Dy 0.1914 0.4287 0.1598 x8
3 In 0.0000 0.4069 0.7500 x4
4 C 0.2500 0.2500 0.5000 x4

***

5.
For DyTm2InC, a structure optimized by DFT (GGA-PBE) gives the simulated powder diffractogram in this record (CuKα).
Kinematic intensities with the Lorentz-polarization factor, no thermal factor.

Largest 6 diffraction maxima, by angle, 15° ≤ 2θ ≤ 90°:
d 2.809, I = 100, hkl 1 1 1
d 2.459, I = 19, hkl 0 0 2
d 2.420, I = 35, hkl 2 0 0
d 1.725, I = 25, hkl 2 0 2
d 1.479, I = 14, hkl 1 1 3
d 1.461, I = 28, hkl 3 1 1

Crystal structure
abc: 4.8402 4.8402 4.9189
angles: 90.00 90.00 90.00
Space group P4/mmm (No. 123)
Symmetry-distinct sites (fractional):
1 Dy 0.0000 0.0000 0.0000 x1
2 Tm 0.0000 0.5000 0.5000 x2
3 In 0.5000 0.5000 0.0000 x1
4 C 0.0000 0.0000 0.5000 x1

***

6.
For La4DyC10, a structure optimized by DFT (GGA-PBE) gives the simulated powder diffractogram in this record (CuKα).
Kinematic intensities with the Lorentz-polarization factor, no thermal factor.

Largest 6 diffraction maxima, by angle, 15° ≤ 2θ ≤ 90°:
d 3.343, I = 100, hkl 1 1 5
d 3.259, I = 35, hkl 0 2 0
d 2.753, I = 53, hkl 2 0 0
d 2.103, I = 40, hkl 2 2 0
d 1.897, I = 29, hkl 1 3 5
d 1.682, I = 30, hkl 3 1 5

Crystal structure
abc: 5.5068 6.5184 27.5297
angles: 90.00 90.00 90.00
Space group Fmmm (No. 69)
Symmetry-distinct sites (fractional):
1 La 0.0000 0.0000 0.0984 x8
2 La 0.0000 0.0000 0.3010 x8
3 Dy 0.0000 0.0000 0.5000 x4
4 C 0.0000 0.0995 0.1997 x16
5 C 0.0000 0.1002 0.0000 x8
6 C 0.0000 0.0995 0.4047 x16

***

7.
For La3DyC8, a structure optimized by DFT (GGA-PBE) gives the simulated powder diffractogram in this record (CuKα).
Kinematic intensities with the Lorentz-polarization factor, no thermal factor.

Largest 6 diffraction maxima, by angle, 15° ≤ 2θ ≤ 90°:
d 3.336, I = 100, hkl 1 0 2
d 3.241, I = 34, hkl 0 0 4
d 2.751, I = 53, hkl 1 1 0
d 2.098, I = 40, hkl 1 1 4
d 1.889, I = 29, hkl 1 0 6
d 1.681, I = 30, hkl 2 1 2

Crystal structure
abc: 3.8909 3.8909 12.9660
angles: 90.00 90.00 90.00
Space group P4/mmm (No. 123)
Symmetry-distinct sites (fractional):
1 La 0.0000 0.0000 0.0000 x1
2 La 0.5000 0.5000 0.2509 x2
3 Dy 0.0000 0.0000 0.5000 x1
4 C 0.0000 0.0000 0.2076 x2
5 C 0.0000 0.0000 0.3079 x2
6 C 0.5000 0.5000 0.0500 x2
7 C 0.5000 0.5000 0.4501 x2

***

8.
For LaDy2PbC, a structure optimized by DFT (GGA-PBE) gives the simulated powder diffractogram in this record (CuKα).
Kinematic intensities with the Lorentz-polarization factor, no thermal factor.

Largest 6 diffraction maxima, by angle, 15° ≤ 2θ ≤ 90°:
d 2.909, I = 100, hkl 1 1 1
d 2.602, I = 20, hkl 0 0 2
d 2.481, I = 35, hkl 2 0 0
d 1.796, I = 26, hkl 2 0 2
d 1.555, I = 16, hkl 1 1 3
d 1.502, I = 28, hkl 3 1 1

Crystal structure
abc: 4.9612 4.9612 5.2048
angles: 90.00 90.00 90.00
Space group P4/mmm (No. 123)
Symmetry-distinct sites (fractional):
1 La 0.0000 0.0000 0.0000 x1
2 Dy 0.0000 0.5000 0.5000 x2
3 Pb 0.5000 0.5000 0.0000 x1
4 C 0.0000 0.0000 0.5000 x1

***

9.
For LiDy8C4, a structure optimized by DFT (GGA-PBE) gives the simulated powder diffractogram in this record (CuKα).
Kinematic intensities with the Lorentz-polarization factor, no thermal factor.

Largest 6 diffraction maxima, by angle, 15° ≤ 2θ ≤ 90°:
d 3.047, I = 37, hkl 1 1 -2
d 3.005, I = 89, hkl 6 0 -3
d 2.844, I = 27, hkl 6 0 -4
d 2.754, I = 100, hkl 3 1 0
d 2.744, I = 100, hkl 3 1 -3
d 1.745, I = 28, hkl 1 1 4

Crystal structure
abc: 18.0104 3.6039 12.6944
angles: 90.00 134.67 90.00
Space group Cm (No. 8)
Symmetry-distinct sites (fractional):
1 Li 0.0000 0.0000 0.0000 x2
2 Dy 0.0430 0.0000 0.7065 x2
3 Dy 0.1529 0.5000 0.3413 x2
4 Dy 0.1571 0.5000 0.6138 x2
5 Dy 0.1908 0.5000 0.0403 x2
6 Dy 0.3086 0.0000 0.9590 x2
7 Dy 0.3422 0.0000 0.3855 x2
8 Dy 0.3465 0.0000 0.6582 x2
9 Dy 0.4563 0.5000 0.2928 x2
10 C 0.1551 0.0000 0.4774 x2
11 C 0.1759 0.5000 0.8324 x2
12 C 0.3234 0.0000 0.1669 x2
13 C 0.3442 0.5000 0.5221 x2

***

10.
For Dy11Mn12C18, a structure optimized by DFT (GGA-PBE) gives the simulated powder diffractogram in this record (CuKα).
Kinematic intensities with the Lorentz-polarization factor, no thermal factor.

Largest 6 diffraction maxima, by angle, 15° ≤ 2θ ≤ 90°:
d 2.930, I = 78, hkl 2 2 2
d 2.712, I = 100, hkl 3 2 1
d 2.537, I = 65, hkl 4 0 0
d 2.392, I = 53, hkl 4 1 1
d 1.646, I = 54, hkl 5 3 2
d 1.381, I = 31, hkl 7 2 1

Crystal structure
abc: 10.1486 10.1486 10.1486
angles: 90.00 90.00 90.00
Space group I-43m (No. 217)
Symmetry-distinct sites (fractional):
1 Dy 0.0000 0.0000 0.0000 x2
2 Dy 0.0000 0.2500 0.5000 x12
3 Dy 0.2060 0.2060 0.7940 x8
4 Mn 0.0778 0.0778 0.2618 x24
5 C 0.0000 0.0000 0.4320 x12
6 C 0.0378 0.2571 0.2571 x24

***

11.
For Dy2Mn17C2, a structure optimized by DFT (GGA-PBE) gives the simulated powder diffractogram in this record (CuKα).
Kinematic intensities with the Lorentz-polarization factor, no thermal factor.

Largest 6 diffraction maxima, by angle, 15° ≤ 2θ ≤ 90°:
d 2.961, I = 39, hkl 2 2 -1
d 2.477, I = 53, hkl 1 3 1
d 2.145, I = 100, hkl 0 4 0
d 2.121, I = 60, hkl 0 0 3
d 2.115, I = 64, hkl 3 3 0
d 2.042, I = 47, hkl 4 0 -2

Crystal structure
abc: 9.5364 8.5776 6.4351
angles: 90.00 98.31 90.00
Space group C2/m (No. 12)
Symmetry-distinct sites (fractional):
1 Dy 0.1483 0.0000 0.3506 x4
2 Mn 0.0000 0.2242 0.0000 x4
3 Mn 0.0000 0.5000 0.5000 x2
4 Mn 0.0957 0.5000 0.9018 x4
5 Mn 0.0987 0.2621 0.6613 x8
6 Mn 0.1436 0.3615 0.2792 x8
7 Mn 0.1487 0.0000 0.8749 x4
8 Mn 0.2500 0.2500 0.0000 x4
9 C 0.2500 0.2500 0.5000 x4